Simulated powder X-ray diffraction pattern
Compound: TbAsS
Radiation: Cu Kα (weighted mean of Kα1 and Kα2)
Structure: the PBE geometry in the Materials Project
No peak broadening, texture or thermal motion is included.

Peak list (10 most intense, 5 to 70 degrees two-theta, most intense first)
Position (°2θ)	d/Å	I_rel	index
39.19	2.299	100	4 1 1
34.53	2.598	50	2 1 1
25.40	3.507	48	2 1 0
25.27	3.524	45	2 0 1
31.35	2.853	41	6 0 0
47.30	1.922	20	0 2 0
32.85	2.726	19	0 1 1
64.25	1.450	18	10 1 1
47.00	1.933	18	0 0 2
39.33	2.291	15	6 1 0

```
TbAsS
1.0
17.117 0.000 0.000
0.000 3.844 0.000
0.000 0.000 3.867
Tb As S
4 4 4
direct
0.146 0.250 0.228
0.354 0.750 0.728
0.646 0.250 0.272
0.854 0.750 0.772
0.002 0.250 0.718
0.498 0.750 0.218
0.502 0.250 0.782
0.998 0.750 0.282
0.187 0.750 0.730
0.313 0.250 0.230
0.687 0.750 0.770
0.813 0.250 0.270
```